[1]
The following is a calculated X-ray diffraction stick pattern of PrDy3Er3. It was derived from a crystal structure in Alexandria, relaxed with GGA-PBE, using a wavelength of 1.5418 Å.

The 6 most intense peaks (10 to 80 degrees two-theta), by angle:
- 29.83°, intensity 25
- 30.33°, intensity 93
- 31.51°, intensity 100
- 32.91°, intensity 26
- 35.51°, intensity 75
- 46.20°, intensity 27

```
PrDy3Er3
1.0
4.918 2.839 2.721
-4.918 2.839 2.721
0.000 -5.679 2.721
Pr Dy Er
1 3 3
Direct
0.000 0.000 0.000 Pr
0.059 0.414 0.414 Dy
0.414 0.059 0.414 Dy
0.414 0.414 0.059 Dy
0.454 0.856 0.856 Er
0.856 0.454 0.856 Er
0.856 0.856 0.454 Er
```

***

[2]
The following is a calculated X-ray diffraction stick pattern of Na2Cu2BiTe4. It was derived from a crystal structure in Alexandria, relaxed with GGA-PBE, using a wavelength of 1.5418 Å.

The 6 most intense peaks (10 to 80 degrees two-theta), by angle:
- 12.03°, intensity 86
- 23.95°, intensity 100
- 30.96°, intensity 44
- 31.56°, intensity 49
- 42.35°, intensity 38
- 44.59°, intensity 52

```
Na2Cu2BiTe4
1.0
8.238 -2.089 0.000
8.238 2.089 0.000
-3.532 0.000 7.356
Na Cu Bi Te
2 2 1 4
Direct
0.129 0.129 0.053 Na
0.871 0.871 0.947 Na
0.299 0.299 0.501 Cu
0.701 0.701 0.499 Cu
0.000 0.000 0.500 Bi
0.211 0.211 0.707 Te
0.478 0.478 0.761 Te
0.522 0.522 0.239 Te
0.789 0.789 0.293 Te
```

***

[3]
The following is a calculated X-ray diffraction stick pattern of Hf3Zr4Sc16. It was derived from a crystal structure in Alexandria, relaxed with GGA-PBE, using a wavelength of 1.5418 Å.

The 6 most intense peaks (10 to 80 degrees two-theta), by angle:
- 17.86°, intensity 67
- 18.79°, intensity 60
- 33.30°, intensity 100
- 34.02°, intensity 67
- 36.02°, intensity 71
- 36.18°, intensity 82

```
Hf3Zr4Sc16
1.0
6.421 0.000 0.000
0.000 9.933 0.000
-0.685 0.000 8.740
Hf Zr Sc
3 4 16
Direct
0.000 0.000 0.000 Hf
0.000 0.500 0.500 Hf
0.500 0.000 0.500 Hf
0.100 0.500 0.844 Zr
0.440 0.000 0.162 Zr
0.560 0.000 0.838 Zr
0.900 0.500 0.156 Zr
0.114 0.000 0.663 Sc
0.157 0.237 0.291 Sc
0.157 0.763 0.291 Sc
0.264 0.237 0.953 Sc
0.264 0.763 0.953 Sc
0.336 0.289 0.624 Sc
0.336 0.711 0.624 Sc
0.399 0.500 0.167 Sc
0.601 0.500 0.833 Sc
0.664 0.289 0.376 Sc
0.664 0.711 0.376 Sc
0.736 0.237 0.047 Sc
0.736 0.763 0.047 Sc
0.843 0.237 0.709 Sc
0.843 0.763 0.709 Sc
0.886 0.000 0.337 Sc
```

***

[4]
The following is a calculated X-ray diffraction stick pattern of Pm6PtSe3S2. It was derived from a crystal structure in Alexandria, relaxed with GGA-PBE, using a wavelength of 1.5418 Å.

The 6 most intense peaks (10 to 80 degrees two-theta), by angle:
- 30.28°, intensity 51
- 30.51°, intensity 100
- 42.95°, intensity 20
- 43.40°, intensity 37
- 43.65°, intensity 38
- 54.71°, intensity 19

```
Pm6PtSe3S2
1.0
9.117 -2.039 0.000
9.117 2.039 0.000
-2.008 0.000 8.179
Pm Pt Se S
6 1 3 2
Direct
0.003 0.003 0.240 Pm
0.330 0.330 0.428 Pm
0.333 0.333 0.905 Pm
0.667 0.667 0.095 Pm
0.670 0.670 0.572 Pm
0.997 0.997 0.760 Pm
0.500 0.500 0.000 Pt
0.167 0.167 0.831 Se
0.500 0.500 0.500 Se
0.833 0.833 0.169 Se
0.168 0.168 0.334 S
0.832 0.832 0.666 S
```

***

[5]
The following is a calculated X-ray diffraction stick pattern of Nd8SiNi2. It was derived from a crystal structure in Alexandria, relaxed with GGA-PBE, using a wavelength of 1.5418 Å.

The 6 most intense peaks (10 to 80 degrees two-theta), by angle:
- 28.87°, intensity 79
- 29.87°, intensity 100
- 31.07°, intensity 67
- 31.39°, intensity 71
- 33.11°, intensity 65
- 35.91°, intensity 57

```
Nd8SiNi2
1.0
4.174 -6.474 0.000
4.174 6.474 0.000
-2.137 0.000 6.009
Nd Si Ni
8 1 2
Direct
0.000 0.000 0.000 Nd
0.001 0.269 0.561 Nd
0.139 0.560 0.170 Nd
0.269 0.001 0.561 Nd
0.434 0.699 0.777 Nd
0.560 0.139 0.170 Nd
0.699 0.434 0.777 Nd
0.718 0.718 0.372 Nd
0.357 0.357 0.379 Si
0.045 0.664 0.689 Ni
0.664 0.045 0.689 Ni
```

***

[6]
The following is a calculated X-ray diffraction stick pattern of MgPdO3. It was derived from a crystal structure in Alexandria, relaxed with GGA-PBE, using a wavelength of 1.5418 Å.

The 6 most intense peaks (10 to 80 degrees two-theta), by angle:
- 19.23°, intensity 100
- 33.62°, intensity 27
- 37.09°, intensity 22
- 46.67°, intensity 34
- 50.92°, intensity 19
- 52.44°, intensity 12

```
MgPdO3
1.0
5.331 0.000 0.000
-2.665 4.617 0.000
0.000 0.000 2.848
Mg Pd O
1 1 3
Direct
0.000 0.000 0.000 Mg
0.667 0.333 0.000 Pd
0.344 0.133 0.500 O
0.790 0.656 0.500 O
0.867 0.210 0.500 O
```

***

[7]
The following is a calculated X-ray diffraction stick pattern of Na4Al2GaSi3BrO12. It was derived from a crystal structure in Alexandria, relaxed with GGA-PBE, using a wavelength of 1.5418 Å.

The 6 most intense peaks (10 to 80 degrees two-theta), by angle:
- 24.09°, intensity 100
- 37.18°, intensity 35
- 42.39°, intensity 24
- 57.63°, intensity 12
- 63.37°, intensity 17
- 77.53°, intensity 13

```
Na4Al2GaSi3BrO12
1.0
6.399 -6.397 0.000
6.399 6.397 0.000
-0.003 0.000 9.047
Na Al Ga Si Br O
8 4 2 6 2 24
Direct
0.058 0.559 0.861 Na
0.065 0.935 0.500 Na
0.423 0.931 0.872 Na
0.430 0.563 0.498 Na
0.559 0.058 0.361 Na
0.563 0.430 0.998 Na
0.931 0.423 0.372 Na
0.935 0.065 0.000 Na
0.244 0.250 0.432 Al
0.250 0.244 0.932 Al
0.495 0.744 0.185 Al
0.744 0.495 0.685 Al
0.744 0.995 0.680 Ga
0.995 0.744 0.180 Ga
0.247 0.998 0.185 Si
0.248 0.494 0.180 Si
0.494 0.248 0.680 Si
0.741 0.746 0.932 Si
0.746 0.741 0.432 Si
0.998 0.247 0.685 Si
0.245 0.746 0.682 Br
0.746 0.245 0.182 Br
0.094 0.192 0.541 O
0.100 0.304 0.823 O
0.106 0.901 0.247 O
0.110 0.591 0.111 O
0.185 0.397 0.320 O
0.192 0.094 0.041 O
0.304 0.100 0.323 O
0.311 0.391 0.044 O
0.385 0.595 0.242 O
0.387 0.896 0.130 O
0.391 0.311 0.544 O
0.397 0.185 0.820 O
0.591 0.110 0.611 O
0.595 0.385 0.742 O
0.605 0.686 0.036 O
0.605 0.801 0.335 O
0.672 0.881 0.832 O
0.686 0.605 0.536 O
0.801 0.605 0.835 O
0.814 0.881 0.526 O
0.881 0.672 0.332 O
0.881 0.814 0.026 O
0.896 0.387 0.630 O
0.901 0.106 0.747 O
```